The following is a computed powder XRD pattern of Na2LiFePCO7. It was derived from a structure optimized by DFT (GGA+U), using CuKα.
Neutral-atom scattering factors, no anomalous dispersion.

Most intense lines, 2θ from 5° to 70°, sorted by position:
8.852 Å, I 100
4.511 Å, I 27
4.400 Å, I 27
3.406 Å, I 32
3.331 Å, I 88
2.662 Å, I 29
2.651 Å, I 34
2.578 Å, I 55
1.835 Å, I 25
1.666 Å, I 26

Structural model:
```
Na2LiFePCO7
1.0
6.6626 0.0000 0.0000
0.0920 8.8552 0.0000
0.0822 0.2943 10.3103
Na Li Fe P C O
8 4 4 4 4 28
Direct
0.0000 0.0000 0.0000
0.0004 0.0030 0.4979
0.0033 0.4813 0.2509
0.0025 0.4818 0.7491
0.2577 0.6598 0.4955
0.2600 0.6596 0.9946
0.5038 0.4809 0.2500
0.5072 0.0020 0.5016
0.4873 0.4658 0.7571
0.5179 0.0125 0.9990
0.7393 0.8305 0.7506
0.7447 0.8344 0.2490
0.2557 0.0903 0.7667
0.2558 0.0930 0.2635
0.7507 0.3895 0.4854
0.7529 0.3906 0.9826
0.2568 0.3297 0.5247
0.2592 0.3244 0.0214
0.7483 0.1524 0.7297
0.7505 0.1460 0.2250
0.2569 0.8016 0.2374
0.2629 0.7940 0.7418
0.7442 0.6954 0.0108
0.7508 0.6881 0.5158
0.0653 0.4122 0.9792
0.0656 0.4248 0.4883
0.2500 0.6566 0.2293
0.2535 0.1740 0.4611
0.2528 0.8599 0.8528
0.2549 0.8640 0.3509
0.2572 0.3070 0.1727
0.2583 0.8786 0.6362
0.2659 0.8882 0.1339
0.2673 0.3092 0.6758
0.2739 0.1659 0.9626
0.2770 0.6483 0.7360
0.4394 0.4255 0.4775
0.4385 0.4259 0.9760
0.5723 0.0462 0.2734
0.5736 0.0454 0.7747
0.7288 0.8363 0.0396
0.7317 0.3101 0.7908
0.7357 0.1712 0.0747
0.7434 0.5845 0.6078
0.7458 0.1751 0.5793
0.7504 0.5930 0.1048
0.7518 0.6487 0.3942
0.7541 0.6526 0.8910
0.7557 0.3008 0.2912
0.7571 0.8283 0.5468
0.9406 0.0484 0.2576
0.9426 0.0641 0.7695
```


The following is a computed powder XRD pattern of Li12FeNi3P4C4O28. It was derived from a structure optimized by DFT (GGA+U), using CuKα.
Neutral-atom scattering factors, no anomalous dispersion.

Most intense lines, 2θ from 5° to 70°, sorted by position:
8.351 Å, I 88
5.103 Å, I 31
4.419 Å, I 39
4.119 Å, I 52
3.929 Å, I 20
3.471 Å, I 20
3.327 Å, I 35
3.223 Å, I 100
2.429 Å, I 26
2.206 Å, I 23

Structural model:
```
Li12FeNi3P4C4O28
1.0
8.3777 0.0000 0.0000
0.0000 6.4468 0.0000
-0.7943 0.0000 9.9100
Li Fe Ni P C O
12 1 3 4 4 28
Direct
0.0000 0.0000 0.0000
0.0003 0.0000 0.4994
0.1796 0.2276 0.7601
0.1797 0.2287 0.2589
0.1797 0.7713 0.2589
0.1796 0.7724 0.7601
0.6267 0.2706 0.0058
0.6267 0.7294 0.0058
0.6278 0.2700 0.5052
0.6278 0.7300 0.5052
0.8048 0.5000 0.2637
0.8080 0.5000 0.7644
0.2404 0.5000 0.4918
0.2358 0.5000 0.9853
0.5704 0.0000 0.2778
0.5709 0.0000 0.7789
0.3173 0.0000 0.5217
0.3181 0.0000 0.0216
0.4889 0.5000 0.2409
0.4915 0.5000 0.7439
0.8639 0.0000 0.2338
0.8642 0.0000 0.7338
0.9366 0.5000 0.5300
0.9425 0.5000 0.0307
0.0115 0.0000 0.2031
0.0118 0.0000 0.7027
0.0526 0.5000 0.6262
0.0592 0.5000 0.1259
0.2118 0.1857 0.4701
0.2125 0.1871 0.9701
0.2125 0.8129 0.9701
0.2118 0.8143 0.4701
0.3213 0.5000 0.2958
0.3209 0.5000 0.7940
0.3407 0.0000 0.1793
0.3405 0.0000 0.6793
0.4662 0.5000 0.0834
0.4730 0.5000 0.5865
0.4847 0.0000 0.4667
0.4855 0.0000 0.9674
0.5937 0.3129 0.2929
0.5937 0.6871 0.2929
0.5951 0.3126 0.7965
0.5951 0.6874 0.7965
0.7474 0.0000 0.1387
0.7475 0.0000 0.6387
0.7897 0.5000 0.5613
0.7951 0.5000 0.0612
0.8266 0.0000 0.3578
0.8273 0.0000 0.8578
0.9734 0.5000 0.4063
0.9804 0.5000 0.9068
```


The following is a computed powder XRD pattern of Li12Fe3NiP4C4O28. It was derived from a structure optimized by DFT (GGA+U), using CuKα.
Neutral-atom scattering factors, no anomalous dispersion.

Most intense lines, 2θ from 5° to 70°, sorted by position:
8.443 Å, I 86
5.120 Å, I 26
4.454 Å, I 39
4.143 Å, I 51
3.484 Å, I 22
3.360 Å, I 35
3.219 Å, I 100
2.444 Å, I 27
2.222 Å, I 23
1.590 Å, I 23

Structural model:
```
Li12Fe3NiP4C4O28
1.0
8.4715 0.0000 0.0000
0.0000 6.4388 0.0000
-0.8254 0.0000 9.9635
Li Fe Ni P C O
12 3 1 4 4 28
Direct
0.0000 0.0000 0.0000
0.0012 0.0000 0.4991
0.1806 0.2278 0.2586
0.1809 0.2293 0.7549
0.1809 0.7707 0.7549
0.1806 0.7722 0.2586
0.6303 0.2730 0.5058
0.6303 0.7270 0.5058
0.6308 0.2724 0.0031
0.6308 0.7276 0.0031
0.8097 0.5000 0.7624
0.8128 0.5000 0.2619
0.2391 0.5000 0.9868
0.5697 0.0000 0.7721
0.5721 0.0000 0.2759
0.2388 0.5000 0.4848
0.3184 0.0000 0.0207
0.3176 0.0000 0.5216
0.4930 0.5000 0.2419
0.4926 0.5000 0.7392
0.8714 0.0000 0.2307
0.8711 0.0000 0.7319
0.9400 0.5000 0.0301
0.9445 0.5000 0.5293
0.0182 0.0000 0.2014
0.0177 0.0000 0.7017
0.0538 0.5000 0.1266
0.0606 0.5000 0.6239
0.2152 0.1873 0.9678
0.2149 0.1880 0.4680
0.2149 0.8120 0.4680
0.2152 0.8127 0.9678
0.3258 0.5000 0.2941
0.3271 0.5000 0.7918
0.3342 0.0000 0.6783
0.3361 0.0000 0.1774
0.4732 0.5000 0.5821
0.4746 0.5000 0.0857
0.4847 0.0000 0.9690
0.4856 0.0000 0.4730
0.5964 0.3130 0.2949
0.5964 0.3130 0.7916
0.5964 0.6870 0.2949
0.5964 0.6870 0.7916
0.7573 0.0000 0.6356
0.7580 0.0000 0.1344
0.7935 0.5000 0.0598
0.7989 0.5000 0.5602
0.8350 0.0000 0.3541
0.8350 0.0000 0.8550
0.9766 0.5000 0.9068
0.9804 0.5000 0.4056
```


The following is a computed powder XRD pattern of LiFe2C4O12. It was derived from a structure optimized by DFT (GGA+U), using CuKα.
Neutral-atom scattering factors, no anomalous dispersion.

Most intense lines, 2θ from 5° to 70°, sorted by position:
4.893 Å, I 100
4.867 Å, I 25
4.621 Å, I 83
3.280 Å, I 13
3.193 Å, I 9
3.124 Å, I 9
2.900 Å, I 25
2.204 Å, I 8
2.113 Å, I 8
2.012 Å, I 14

Structural model:
```
LiFe2C4O12
1.0
5.4774 0.0000 0.0000
2.7304 6.2483 0.0000
1.8842 0.0187 7.7858
Li Fe C O
1 2 4 12
Direct
0.0000 0.0000 0.0000
0.4023 0.9843 0.3264
0.6786 0.4443 0.8201
0.1133 0.0882 0.6080
0.4814 0.3340 0.1054
0.5649 0.8263 0.0320
0.6395 0.5874 0.5316
0.0218 0.0611 0.4805
0.3107 0.8862 0.1172
0.3554 0.4148 0.9793
0.3625 0.2798 0.2470
0.3697 0.0528 0.5773
0.4504 0.5465 0.6452
0.5981 0.6730 0.3879
0.6549 0.7185 0.8933
0.7186 0.8860 0.0980
0.7340 0.3147 0.0702
0.8655 0.5314 0.5811
0.9577 0.1459 0.7606
```


The following is a computed powder XRD pattern of LiFeCO4. It was derived from a structure optimized by DFT (GGA+U), using CuKα.
Neutral-atom scattering factors, no anomalous dispersion.

Most intense lines, 2θ from 5° to 70°, sorted by position:
6.612 Å, I 100
4.674 Å, I 25
4.183 Å, I 45
2.996 Å, I 28
2.620 Å, I 64
2.593 Å, I 46
2.160 Å, I 28
2.091 Å, I 19
2.006 Å, I 18
1.610 Å, I 31

Structural model:
```
LiFeCO4
1.0
9.3548 0.0000 0.0000
0.0000 3.1631 0.0000
0.0000 0.0000 9.3480
Li Fe C O
4 4 4 16
Direct
0.0987 0.2500 0.1916
0.4013 0.7500 0.6916
0.5987 0.2500 0.3084
0.9013 0.7500 0.8084
0.1146 0.2500 0.5699
0.3854 0.7500 0.0699
0.6146 0.2500 0.9301
0.8854 0.7500 0.4301
0.1636 0.2500 0.8733
0.3364 0.7500 0.3733
0.6636 0.2500 0.6267
0.8364 0.7500 0.1267
0.0041 0.2500 0.3849
0.0295 0.2500 0.8724
0.2358 0.2500 0.9976
0.2390 0.2500 0.7545
0.2610 0.7500 0.2545
0.2642 0.7500 0.4976
0.4705 0.7500 0.3724
0.4959 0.7500 0.8849
0.5041 0.2500 0.1151
0.5295 0.2500 0.6276
0.7358 0.2500 0.5024
0.7390 0.2500 0.7455
0.7610 0.7500 0.2455
0.7642 0.7500 0.0024
0.9705 0.7500 0.1276
0.9959 0.7500 0.6151
```


The following is a computed powder XRD pattern of Li2Fe2C3O9. It was derived from a structure optimized by DFT (GGA+U), using CuKα.
Neutral-atom scattering factors, no anomalous dispersion.

Most intense lines, 2θ from 5° to 70°, sorted by position:
6.419 Å, I 42
6.384 Å, I 21
6.090 Å, I 59
4.414 Å, I 100
2.839 Å, I 17
2.834 Å, I 31
2.754 Å, I 26
2.688 Å, I 16
2.310 Å, I 24
2.300 Å, I 16

Structural model:
```
Li2Fe2C3O9
1.0
7.5013 0.0000 0.0000
-2.2946 7.1565 0.0000
-2.3624 -3.2109 6.4340
Li Fe C O
4 4 6 18
Direct
0.0000 0.0000 0.0000
0.0285 0.7707 0.4989
0.2631 0.2716 0.4674
0.5348 0.7413 0.7271
0.3382 0.5824 0.1965
0.4534 0.1877 0.9242
0.7325 0.0787 0.3116
0.8404 0.4672 0.8042
0.0823 0.2251 0.7539
0.2822 0.8160 0.9483
0.4894 0.0268 0.5433
0.6302 0.4555 0.4171
0.7161 0.6904 0.0943
0.9516 0.3682 0.1833
0.0941 0.5577 0.3048
0.1336 0.2597 0.9459
0.1797 0.6556 0.9690
0.1896 0.9209 0.8896
0.1945 0.1741 0.6680
0.4434 0.9453 0.6590
0.4759 0.5023 0.4281
0.4772 0.8725 0.9855
0.5049 0.9162 0.3826
0.5210 0.2176 0.5849
0.5472 0.5370 0.0515
0.5902 0.2886 0.2633
0.7641 0.7044 0.9426
0.7975 0.3222 0.0131
0.8177 0.5768 0.5634
0.8399 0.8349 0.2823
0.9191 0.2410 0.6477
0.9675 0.2167 0.2328
```


The following is a computed powder XRD pattern of LiFe2C2O7. It was derived from a structure optimized by DFT (GGA+U), using CuKα.
Neutral-atom scattering factors, no anomalous dispersion.

Most intense lines, 2θ from 5° to 70°, sorted by position:
8.063 Å, I 17
4.222 Å, I 42
4.165 Å, I 84
4.031 Å, I 100
2.913 Å, I 35
2.883 Å, I 16
2.426 Å, I 25
2.394 Å, I 12
2.082 Å, I 25
2.074 Å, I 12

Structural model:
```
LiFe2C2O7
1.0
7.1812 -4.2221 0.0000
7.1812 4.2221 0.0000
-0.0871 0.0000 8.0628
Li Fe C O
3 6 6 21
Direct
0.0000 0.0000 0.0000
0.3672 0.2735 0.0066
0.7265 0.6328 0.9934
0.0508 0.6148 0.3061
0.0633 0.6176 0.7611
0.3824 0.9367 0.2389
0.3852 0.9492 0.6939
0.7252 0.2714 0.7727
0.7286 0.2748 0.2273
0.0635 0.2809 0.2038
0.0645 0.2807 0.7958
0.3875 0.6097 0.2043
0.3903 0.6125 0.7957
0.7193 0.9355 0.2042
0.7191 0.9365 0.7962
0.0467 0.6152 0.5236
0.1266 0.1148 0.1474
0.1606 0.3643 0.1903
0.2095 0.7109 0.2056
0.2439 0.1944 0.8122
0.2891 0.7905 0.7944
0.3236 0.5120 0.8543
0.3848 0.9533 0.4764
0.4621 0.4456 0.2630
0.4880 0.6764 0.1457
0.5540 0.0295 0.1462
0.5544 0.5379 0.7370
0.6333 0.0949 0.7261
0.6357 0.8394 0.8097
0.7554 0.2446 0.0000
0.8035 0.0114 0.2771
0.8056 0.7561 0.1878
0.8852 0.8734 0.8526
0.9051 0.3667 0.2739
0.9705 0.4460 0.8538
0.9886 0.1965 0.7229
```